Starting from a structure optimized by DFT (GGA-PBE), the XRD peak list of La2Pm2Y4Tm was simulated for Cu Kα X-rays.
Kinematic intensities with the Lorentz-polarization factor, no thermal factor.

Crystal structure
abc: 9.6400 9.6400 9.7008
angles: 115.20 115.20 21.84
Fractional coordinates of all 9 atoms:
La 0.1644 0.1644 0.4993
La 0.8356 0.8356 0.5007
Pm 0.3524 0.3524 0.8358
Pm 0.6476 0.6476 0.1642
Y 0.0199 0.0199 0.8332
Y 0.3152 0.3152 0.1635
Y 0.6848 0.6848 0.8365
Y 0.9801 0.9801 0.1668
Tm 0.5000 0.5000 0.5000

Principal peaks in the range 2θ = 10–90°, low angle first:
- 2θ = 28.46°, I 46
- 2θ = 30.68°, I 49
- 2θ = 31.43°, I 100
- 2θ = 33.10°, I 90
- 2θ = 39.62°, I 17
- 2θ = 44.92°, I 14
- 2θ = 50.04°, I 25
- 2θ = 53.93°, I 21
- 2θ = 57.17°, I 19
- 2θ = 59.75°, I 14
- 2θ = 59.85°, I 28
- 2θ = 85.25°, I 16